# 1
The following is a calculated PXRD pattern of CdGa2Te4. It was derived from a DFT-relaxed cell (GGA-PBE, Alexandria), using λ = 1.5418 Å (Cu Kα).
Lines closer than 0.1° are merged.

Structural model:
```
14
Lattice="6.255 0.000 0.000 0.000 6.255 0.000 0.000 0.000 11.998" Properties=species:S:1:pos:R:3 pbc="T T T"
Cd 0.000 0.000 0.000
Cd 3.127 3.127 5.999
Ga 0.000 0.000 5.999
Ga 0.000 3.127 8.998
Ga 3.127 0.000 2.999
Ga 3.127 3.127 0.000
Te 1.403 1.550 4.338
Te 1.550 4.852 7.660
Te 1.577 4.530 1.661
Te 1.724 1.577 10.337
Te 4.530 4.678 10.337
Te 4.678 1.724 1.661
Te 4.704 1.403 7.660
Te 4.852 4.704 4.338
```

Main lines, low angle first (2θ from 10° to 80°):
| 2θ/deg | d/Å | intensity |
| --- | --- | --- |
| 25.01 | 3.560 | 100 |
| 32.28 | 2.773 | 7 |
| 32.88 | 2.724 | 7 |
| 40.81 | 2.211 | 24 |
| 41.73 | 2.165 | 43 |
| 48.46 | 1.878 | 30 |
| 50.06 | 1.822 | 13 |
| 59.08 | 1.564 | 7 |
| 66.50 | 1.406 | 11 |
| 74.92 | 1.268 | 13 |

=====

# 2
The following is a calculated PXRD pattern of TlCdGa. It was derived from a DFT-relaxed cell (GGA-PBE, Alexandria), using λ = 1.5418 Å (Cu Kα).
Lines closer than 0.1° are merged.

Structural model:
```
6
Lattice="5.338 0.000 0.000 -2.669 4.623 0.000 0.000 0.000 6.064" Properties=species:S:1:pos:R:3 pbc="T T T"
Tl 0.000 3.082 1.516
Tl 2.669 1.541 4.548
Cd 0.000 0.000 0.000
Cd 0.000 0.000 3.032
Ga 0.000 3.082 4.548
Ga 2.669 1.541 1.516
```

Main lines, low angle first (2θ from 10° to 80°):
| 2θ/deg | d/Å | intensity |
| --- | --- | --- |
| 24.21 | 3.677 | 35 |
| 33.57 | 2.669 | 100 |
| 35.40 | 2.535 | 73 |
| 41.82 | 2.160 | 9 |
| 45.26 | 2.004 | 15 |
| 49.59 | 1.838 | 28 |
| 60.03 | 1.541 | 19 |
| 61.21 | 1.514 | 35 |
| 70.57 | 1.335 | 11 |
| 71.58 | 1.318 | 22 |

=====

# 3
The following is a calculated PXRD pattern of TlCd12Ga6. It was derived from a DFT-relaxed cell (GGA-PBE, Alexandria), using λ = 1.5418 Å (Cu Kα).
Lines closer than 0.1° are merged.

Structural model:
```
19
Lattice="6.579 3.798 3.020 -6.579 3.798 3.020 0.000 -7.596 3.020" Properties=species:S:1:pos:R:3 pbc="T T T"
Tl 0.000 0.000 0.000
Cd -2.535 -4.391 4.530
Cd -5.070 0.000 4.530
Cd -1.575 -0.910 2.618
Cd 1.575 -0.910 2.618
Cd 0.000 1.819 2.618
Cd 2.535 -4.391 4.530
Cd -2.535 4.391 4.530
Cd 0.000 -1.819 6.441
Cd -1.575 0.910 6.441
Cd 1.575 0.910 6.441
Cd 5.070 0.000 4.530
Cd 2.535 4.391 4.530
Ga -2.697 -1.557 5.134
Ga 0.000 -3.115 3.926
Ga -2.697 1.557 3.926
Ga 2.697 -1.557 5.134
Ga 0.000 3.115 5.134
Ga 2.697 1.557 3.926
```

Main lines, low angle first (2θ from 10° to 80°):
| 2θ/deg | d/Å | intensity |
| --- | --- | --- |
| 22.86 | 3.890 | 14 |
| 29.95 | 2.984 | 100 |
| 32.63 | 2.744 | 56 |
| 35.75 | 2.512 | 36 |
| 38.07 | 2.364 | 34 |
| 39.81 | 2.264 | 44 |
| 42.98 | 2.105 | 29 |
| 43.18 | 2.095 | 21 |
| 44.50 | 2.036 | 49 |
| 71.36 | 1.322 | 19 |

=====

# 4
The following is a calculated PXRD pattern of TlCdGa. It was derived from a DFT-relaxed cell (GGA-PBE, Alexandria), using λ = 1.5418 Å (Cu Kα).
Lines closer than 0.1° are merged.

Structural model:
```
12
Lattice="7.944 0.000 0.000 0.000 4.584 0.000 -2.414 0.000 8.799" Properties=species:S:1:pos:R:3 pbc="T T T"
Tl 1.343 0.000 1.070
Tl 0.215 2.292 7.729
Tl 5.315 2.292 1.070
Tl 4.187 0.000 7.729
Cd -1.154 0.000 6.083
Cd 2.712 2.292 2.716
Cd 2.818 2.292 6.083
Cd 6.684 0.000 2.716
Ga 0.115 2.292 4.066
Ga 1.442 0.000 4.733
Ga 4.087 0.000 4.066
Ga 5.414 2.292 4.733
```

Main lines, low angle first (2θ from 10° to 80°):
| 2θ/deg | d/Å | intensity |
| --- | --- | --- |
| 22.60 | 3.934 | 26 |
| 23.49 | 3.788 | 23 |
| 28.30 | 3.153 | 20 |
| 32.53 | 2.753 | 98 |
| 33.20 | 2.699 | 47 |
| 35.61 | 2.521 | 27 |
| 39.31 | 2.292 | 100 |
| 52.37 | 1.747 | 25 |
| 67.02 | 1.396 | 20 |
| 71.26 | 1.323 | 17 |

=====

# 5
The following is a calculated PXRD pattern of Tm4CdGa3. It was derived from a DFT-relaxed cell (GGA-PBE, Alexandria), using λ = 1.5418 Å (Cu Kα).
Lines closer than 0.1° are merged.

Structural model:
```
16
Lattice="10.106 0.000 0.000 0.000 7.115 0.000 0.000 0.000 5.052" Properties=species:S:1:pos:R:3 pbc="T T T"
Tm 0.000 1.729 0.000
Tm 0.000 5.386 0.000
Tm 2.526 1.729 2.519
Tm 2.526 5.386 2.519
Tm 5.053 1.729 0.000
Tm 5.053 5.386 0.000
Tm 7.579 1.729 2.533
Tm 7.579 5.386 2.533
Cd 0.000 3.557 2.526
Cd 5.053 3.557 2.526
Ga 0.000 0.000 2.526
Ga 2.526 0.000 5.042
Ga 2.526 3.557 5.045
Ga 5.053 0.000 2.526
Ga 7.579 0.000 0.010
Ga 7.579 3.557 0.008
```

Main lines, low angle first (2θ from 10° to 80°):
| 2θ/deg | d/Å | intensity |
| --- | --- | --- |
| 24.92 | 3.573 | 9 |
| 25.03 | 3.557 | 4 |
| 35.59 | 2.523 | 100 |
| 43.96 | 2.060 | 4 |
| 51.13 | 1.786 | 12 |
| 51.37 | 1.779 | 6 |
| 57.72 | 1.597 | 4 |
| 63.87 | 1.457 | 24 |
| 64.02 | 1.454 | 12 |
| 75.42 | 1.260 | 7 |

=====

# 6
The following is a calculated PXRD pattern of Tm4Cd5Ga2. It was derived from a DFT-relaxed cell (GGA-PBE, Alexandria), using λ = 1.5418 Å (Cu Kα).
Lines closer than 0.1° are merged.

Structural model:
```
11
Lattice="7.622 0.000 0.000 0.000 3.685 0.000 -0.551 0.000 9.329" Properties=species:S:1:pos:R:3 pbc="T T T"
Tm 1.159 0.000 3.374
Tm 1.358 0.000 8.694
Tm 5.714 0.000 0.635
Tm 5.913 0.000 5.955
Cd 0.933 1.843 6.005
Cd 3.309 1.843 1.682
Cd 3.536 1.843 4.664
Cd 3.763 1.843 7.647
Cd 6.139 1.843 3.323
Ga 0.414 1.843 1.208
Ga 6.657 1.843 8.121
```

Main lines, low angle first (2θ from 10° to 80°):
| 2θ/deg | d/Å | intensity |
| --- | --- | --- |
| 31.72 | 2.821 | 34 |
| 32.73 | 2.736 | 100 |
| 33.55 | 2.671 | 90 |
| 33.86 | 2.647 | 81 |
| 35.63 | 2.519 | 48 |
| 36.17 | 2.483 | 51 |
| 37.86 | 2.377 | 35 |
| 38.43 | 2.342 | 72 |
| 39.76 | 2.267 | 33 |
| 49.47 | 1.843 | 45 |

=====

# 7
The following is a calculated PXRD pattern of YTmCdGa. It was derived from a DFT-relaxed cell (GGA-PBE, Alexandria), using λ = 1.5418 Å (Cu Kα).
Lines closer than 0.1° are merged.

Structural model:
```
16
Lattice="7.280 0.000 0.000 0.000 7.280 0.000 0.000 0.000 7.280" Properties=species:S:1:pos:R:3 pbc="T T T"
Y 0.000 0.000 0.000
Y 0.000 3.640 3.640
Y 3.640 0.000 3.640
Y 3.640 3.640 0.000
Tm 0.000 0.000 3.640
Tm 0.000 3.640 0.000
Tm 3.640 0.000 0.000
Tm 3.640 3.640 3.640
Cd 1.820 1.820 5.460
Cd 1.820 5.460 1.820
Cd 5.460 1.820 1.820
Cd 5.460 5.460 5.460
Ga 1.820 1.820 1.820
Ga 1.820 5.460 5.460
Ga 5.460 1.820 5.460
Ga 5.460 5.460 1.820
```

Main lines, low angle first (2θ from 10° to 80°):
| 2θ/deg | d/Å | intensity |
| --- | --- | --- |
| 21.14 | 4.203 | 9 |
| 24.45 | 3.640 | 3 |
| 34.86 | 2.574 | 100 |
| 41.12 | 2.195 | 5 |
| 50.12 | 1.820 | 18 |
| 54.98 | 1.670 | 2 |
| 62.50 | 1.486 | 36 |
| 66.77 | 1.401 | 2 |
| 73.60 | 1.287 | 11 |
| 77.58 | 1.231 | 2 |

=====

# 8
The following is a calculated PXRD pattern of U4CdGa12. It was derived from a DFT-relaxed cell (GGA-PBE, Alexandria), using λ = 1.5418 Å (Cu Kα).
Lines closer than 0.1° are merged.

Structural model:
```
17
Lattice="-4.351 4.351 4.351 4.351 -4.351 4.351 4.351 4.351 -4.351" Properties=species:S:1:pos:R:3 pbc="T T T"
U 2.176 2.176 -2.176
U 2.176 -2.176 2.176
U -2.176 2.176 2.176
U 2.176 2.176 2.176
Cd 0.000 0.000 0.000
Ga 2.683 0.000 0.000
Ga 6.020 0.000 0.000
Ga 4.351 2.176 0.000
Ga 4.351 0.000 2.176
Ga 0.000 2.683 0.000
Ga 0.000 0.000 2.683
Ga 2.176 4.351 0.000
Ga 2.176 0.000 4.351
Ga 0.000 6.020 0.000
Ga 0.000 0.000 6.020
Ga 0.000 4.351 2.176
Ga 0.000 2.176 4.351
```

Main lines, low angle first (2θ from 10° to 80°):
| 2θ/deg | d/Å | intensity |
| --- | --- | --- |
| 20.41 | 4.351 | 25 |
| 29.02 | 3.077 | 68 |
| 35.74 | 2.512 | 100 |
| 41.50 | 2.176 | 64 |
| 46.68 | 1.946 | 21 |
| 51.44 | 1.776 | 21 |
| 60.15 | 1.538 | 37 |
| 64.21 | 1.450 | 13 |
| 68.15 | 1.376 | 20 |
| 71.97 | 1.312 | 31 |

=====

# 9
The following is a calculated PXRD pattern of ZnCd2Ga. It was derived from a DFT-relaxed cell (GGA-PBE, Alexandria), using λ = 1.5418 Å (Cu Kα).
Lines closer than 0.1° are merged.

Structural model:
```
16
Lattice="9.660 0.000 0.000 0.000 5.753 0.000 -2.009 0.000 5.884" Properties=species:S:1:pos:R:3 pbc="T T T"
Zn -0.502 1.395 1.471
Zn -1.507 4.358 4.413
Zn 3.324 1.481 4.413
Zn 4.328 4.272 1.471
Cd 0.865 2.809 3.606
Cd 1.870 2.944 0.664
Cd 1.956 0.067 2.278
Cd 0.952 5.685 5.220
Cd 6.700 0.067 0.664
Cd 5.695 5.685 3.606
Cd 5.782 2.809 5.220
Cd 6.786 2.944 2.278
Ga -1.507 1.263 4.413
Ga -0.502 4.490 1.471
Ga 4.328 1.613 1.471
Ga 3.324 4.140 4.413
```

Main lines, low angle first (2θ from 10° to 80°):
| 2θ/deg | d/Å | intensity |
| --- | --- | --- |
| 32.75 | 2.735 | 70 |
| 33.27 | 2.693 | 25 |
| 36.92 | 2.435 | 100 |
| 38.35 | 2.347 | 55 |
| 39.42 | 2.286 | 31 |
| 41.49 | 2.176 | 46 |
| 44.02 | 2.057 | 35 |
| 60.21 | 1.537 | 24 |
| 67.80 | 1.382 | 29 |
| 72.10 | 1.310 | 26 |

=====

# 10
The following is a calculated PXRD pattern of Zn6CdGa. It was derived from a DFT-relaxed cell (GGA-PBE, Alexandria), using λ = 1.5418 Å (Cu Kα).
Lines closer than 0.1° are merged.

Structural model:
```
8
Lattice="4.549 0.000 0.000 0.000 5.419 0.000 0.000 0.000 5.420" Properties=species:S:1:pos:R:3 pbc="T T T"
Zn 0.000 0.000 0.000
Zn 0.000 1.313 3.001
Zn 0.000 4.105 3.001
Zn 2.274 1.339 4.826
Zn 2.274 2.709 2.426
Zn 2.274 4.080 4.826
Cd 0.000 2.709 0.459
Ga 2.274 0.000 2.006
```

Main lines, low angle first (2θ from 10° to 80°):
| 2θ/deg | d/Å | intensity |
| --- | --- | --- |
| 33.05 | 2.710 | 18 |
| 37.10 | 2.424 | 24 |
| 38.67 | 2.328 | 49 |
| 39.63 | 2.274 | 38 |
| 42.25 | 2.139 | 100 |
| 52.53 | 1.742 | 9 |
| 55.40 | 1.658 | 14 |
| 61.71 | 1.503 | 15 |
| 73.71 | 1.285 | 18 |
| 75.87 | 1.254 | 16 |

=====

# 11
The following is a calculated PXRD pattern of LaGdCdGe. It was derived from a DFT-relaxed cell (GGA-PBE, Alexandria), using λ = 1.5418 Å (Cu Kα).
Lines closer than 0.1° are merged.

Structural model:
```
16
Lattice="7.508 0.000 0.000 0.000 7.508 0.000 0.000 0.000 7.508" Properties=species:S:1:pos:R:3 pbc="T T T"
La 0.000 0.000 0.000
La 0.000 3.754 3.754
La 3.754 0.000 3.754
La 3.754 3.754 0.000
Gd 0.000 0.000 3.754
Gd 0.000 3.754 0.000
Gd 3.754 0.000 0.000
Gd 3.754 3.754 3.754
Cd 1.877 1.877 5.631
Cd 1.877 5.631 1.877
Cd 5.631 1.877 1.877
Cd 5.631 5.631 5.631
Ge 1.877 1.877 1.877
Ge 1.877 5.631 5.631
Ge 5.631 1.877 5.631
Ge 5.631 5.631 1.877
```

Main lines, low angle first (2θ from 10° to 80°):
| 2θ/deg | d/Å | intensity |
| --- | --- | --- |
| 20.49 | 4.335 | 2 |
| 23.70 | 3.754 | 5 |
| 33.77 | 2.654 | 100 |
| 39.82 | 2.264 | 1 |
| 41.67 | 2.167 | 2 |
| 48.50 | 1.877 | 18 |
| 54.67 | 1.679 | 2 |
| 60.40 | 1.533 | 37 |
| 71.02 | 1.327 | 11 |
| 76.06 | 1.251 | 1 |

=====

# 12
The following is a calculated PXRD pattern of LaGdCdHg. It was derived from a DFT-relaxed cell (GGA-PBE, Alexandria), using λ = 1.5418 Å (Cu Kα).
Lines closer than 0.1° are merged.

Structural model:
```
16
Lattice="7.697 0.000 0.000 0.000 7.697 0.000 0.000 0.000 7.697" Properties=species:S:1:pos:R:3 pbc="T T T"
La 0.000 0.000 0.000
La 0.000 3.849 3.849
La 3.849 0.000 3.849
La 3.849 3.849 0.000
Gd 0.000 0.000 3.849
Gd 0.000 3.849 0.000
Gd 3.849 0.000 0.000
Gd 3.849 3.849 3.849
Cd 1.924 1.924 1.924
Cd 1.924 5.773 5.773
Cd 5.773 1.924 5.773
Cd 5.773 5.773 1.924
Hg 1.924 1.924 5.773
Hg 1.924 5.773 1.924
Hg 5.773 1.924 1.924
Hg 5.773 5.773 5.773
```

Main lines, low angle first (2θ from 10° to 80°):
| 2θ/deg | d/Å | intensity |
| --- | --- | --- |
| 19.98 | 4.444 | 4 |
| 32.91 | 2.721 | 100 |
| 38.80 | 2.321 | 3 |
| 47.23 | 1.924 | 18 |
| 51.77 | 1.766 | 1 |
| 58.77 | 1.571 | 38 |
| 62.72 | 1.481 | 1 |
| 69.02 | 1.361 | 12 |
| 72.67 | 1.301 | 1 |
| 78.61 | 1.217 | 16 |

=====

# 13
The following is a calculated PXRD pattern of GdThMnCd. It was derived from a DFT-relaxed cell (GGA-PBE, Alexandria), using λ = 1.5418 Å (Cu Kα).
Lines closer than 0.1° are merged.

Structural model:
```
16
Lattice="7.415 0.000 0.000 0.000 7.415 0.000 0.000 0.000 7.415" Properties=species:S:1:pos:R:3 pbc="T T T"
Gd 0.000 0.000 0.000
Gd 0.000 3.708 3.708
Gd 3.708 0.000 3.708
Gd 3.708 3.708 0.000
Th 0.000 0.000 3.708
Th 0.000 3.708 0.000
Th 3.708 0.000 0.000
Th 3.708 3.708 3.708
Mn 1.854 1.854 5.561
Mn 1.854 5.561 1.854
Mn 5.561 1.854 1.854
Mn 5.561 5.561 5.561
Cd 1.854 1.854 1.854
Cd 1.854 5.561 5.561
Cd 5.561 1.854 5.561
Cd 5.561 5.561 1.854
```

Main lines, low angle first (2θ from 10° to 80°):
| 2θ/deg | d/Å | intensity |
| --- | --- | --- |
| 20.75 | 4.281 | 6 |
| 24.00 | 3.708 | 17 |
| 34.20 | 2.622 | 100 |
| 40.34 | 2.236 | 3 |
| 42.22 | 2.141 | 5 |
| 49.15 | 1.854 | 18 |
| 55.41 | 1.658 | 8 |
| 61.24 | 1.514 | 37 |
| 72.05 | 1.311 | 11 |
| 77.19 | 1.236 | 4 |

=====

# 14
The following is a calculated PXRD pattern of GdTiCdSbO7. It was derived from a DFT-relaxed cell (GGA-PBE, Alexandria), using λ = 1.5418 Å (Cu Kα).
Lines closer than 0.1° are merged.

Structural model:
```
22
Lattice="-3.610 3.738 5.155 3.610 -3.738 5.155 3.610 3.738 -5.155" Properties=species:S:1:pos:R:3 pbc="T T T"
Gd 0.000 0.000 0.000
Gd 0.000 3.738 0.000
Ti -1.805 1.869 2.577
Ti 1.805 1.869 2.577
Cd 1.805 1.869 -2.577
Cd 1.805 -1.869 2.577
Sb 3.610 0.000 0.000
Sb 0.000 0.000 5.155
O 3.610 -1.869 3.884
O 3.610 1.869 -0.823
O 2.132 0.429 1.256
O 5.088 0.429 1.256
O 0.000 1.869 1.838
O 2.132 4.166 -1.256
O 1.478 0.429 3.899
O 2.132 3.309 1.256
O 1.478 -0.429 6.411
O 3.610 1.869 3.317
O -1.478 3.309 3.899
O 1.478 3.309 3.899
O 0.000 1.869 5.978
O 0.000 5.607 1.271
```

Main lines, low angle first (2θ from 10° to 80°):
| 2θ/deg | d/Å | intensity |
| --- | --- | --- |
| 29.52 | 3.026 | 100 |
| 30.23 | 2.957 | 91 |
| 34.54 | 2.597 | 40 |
| 34.81 | 2.577 | 20 |
| 48.72 | 1.869 | 15 |
| 49.85 | 1.829 | 58 |
| 50.57 | 1.805 | 14 |
| 58.42 | 1.580 | 27 |
| 59.18 | 1.561 | 13 |
| 59.63 | 1.551 | 39 |